# 1
# PaNbTe3
Computed X-ray diffraction stick pattern, Cu Kα. Input: a structure optimized by DFT (PBE).
Peak positions follow from Bragg's law for the DFT cell and can differ from measured ones.

Largest 6 diffraction maxima, in order of rising 2θ, 2θ = 15–90°:
2theta, d/Å, intensity
30.20, 2.960, 98
30.73, 2.909, 55
34.91, 2.570, 100
36.86, 2.439, 51
38.20, 2.356, 40
56.66, 1.625, 38

Crystal structure
a b c (Å): 8.007 8.007 8.980
angles (deg): 90.00 90.00 28.49
Fractional positions:
Pa 0.102 0.102 0.090
Pa 0.898 0.898 0.910
Nb 0.291 0.291 0.395
Nb 0.709 0.709 0.605
Te 0.114 0.114 0.450
Te 0.248 0.248 0.834
Te 0.449 0.449 0.180
Te 0.551 0.551 0.820
Te 0.752 0.752 0.166
Te 0.886 0.886 0.550

# 2
# PaTi2Nb
Computed X-ray diffraction stick pattern, Cu Kα. Input: a structure optimized by DFT (PBE).
Peak positions follow from Bragg's law for the DFT cell and can differ from measured ones.

Largest 6 diffraction maxima, in order of rising 2θ, 2θ = 15–90°:
2theta, d/Å, intensity
22.91, 3.882, 22
26.51, 3.362, 37
37.84, 2.378, 100
54.59, 1.681, 17
61.69, 1.504, 16
68.34, 1.373, 34

Crystal structure
a b c (Å): 4.755 4.755 4.755
angles (deg): 60.00 60.00 60.00
Fractional positions:
Pa 0.000 0.000 0.000
Ti 0.250 0.250 0.250
Ti 0.750 0.750 0.750
Nb 0.500 0.500 0.500

# 3
# PaNbW
Computed X-ray diffraction stick pattern, Cu Kα. Input: a structure optimized by DFT (PBE).
Peak positions follow from Bragg's law for the DFT cell and can differ from measured ones.

Largest 6 diffraction maxima, in order of rising 2θ, 2θ = 15–90°:
2theta, d/Å, intensity
27.74, 3.216, 13
36.81, 2.442, 100
37.69, 2.386, 48
54.37, 1.687, 17
65.72, 1.421, 17
67.47, 1.388, 35

Crystal structure
a b c (Å): 5.817 5.817 5.817
angles (deg): 146.27 146.27 48.44
Fractional positions:
Pa 0.000 0.000 0.000
Nb 0.314 0.314 0.000
W 0.671 0.671 0.000

# 4
# PaNbZn
Computed X-ray diffraction stick pattern, Cu Kα. Input: a structure optimized by DFT (PBE).
Peak positions follow from Bragg's law for the DFT cell and can differ from measured ones.

Largest 6 diffraction maxima, in order of rising 2θ, 2θ = 15–90°:
2theta, d/Å, intensity
30.89, 2.895, 24
36.36, 2.471, 100
40.34, 2.236, 17
43.16, 2.096, 32
60.55, 1.529, 21
74.68, 1.271, 24

Crystal structure
a b c (Å): 7.027 7.027 7.027
angles (deg): 155.65 155.65 34.71
Fractional positions:
Pa 0.000 0.000 0.000
Nb 0.317 0.317 0.000
Zn 0.674 0.674 0.000

# 5
# NbPb4
Computed X-ray diffraction stick pattern, Cu Kα. Input: a structure optimized by DFT (PBE).
Peak positions follow from Bragg's law for the DFT cell and can differ from measured ones.

Largest 6 diffraction maxima, in order of rising 2θ, 2θ = 15–90°:
2theta, d/Å, intensity
27.86, 3.203, 100
32.27, 2.774, 83
46.29, 1.961, 62
54.89, 1.673, 48
76.85, 1.240, 29
85.81, 1.132, 23

Crystal structure
a b c (Å): 5.547 5.547 5.547
angles (deg): 90.00 90.00 90.00
Fractional positions:
Nb 0.000 0.000 0.000
Pb 0.000 0.000 0.500
Pb 0.000 0.500 0.000
Pb 0.500 0.000 0.000
Pb 0.500 0.500 0.500

# 6
# NbPdPb
Computed X-ray diffraction stick pattern, Cu Kα. Input: a structure optimized by DFT (PBE).
Peak positions follow from Bragg's law for the DFT cell and can differ from measured ones.

Largest 6 diffraction maxima, in order of rising 2θ, 2θ = 15–90°:
2theta, d/Å, intensity
31.63, 2.829, 63
36.07, 2.490, 60
36.80, 2.442, 100
40.08, 2.250, 58
42.18, 2.142, 51
59.93, 1.544, 25

Crystal structure
a b c (Å): 6.785 6.026 5.060
angles (deg): 74.91 59.03 46.06
Fractional positions:
Nb 0.250 0.250 0.250
Nb 0.750 0.750 0.750
Pd 0.133 0.133 0.867
Pd 0.867 0.867 0.133
Pb 0.321 0.679 0.321
Pb 0.679 0.321 0.679

# 7
# NbPbS4
Computed X-ray diffraction stick pattern, Cu Kα. Input: a structure optimized by DFT (PBE).
Peak positions follow from Bragg's law for the DFT cell and can differ from measured ones.

Largest 6 diffraction maxima, in order of rising 2θ, 2θ = 15–90°:
2theta, d/Å, intensity
16.70, 5.309, 22
22.72, 3.914, 100
23.62, 3.766, 73
36.72, 2.447, 42
37.07, 2.425, 26
43.93, 2.061, 24

Crystal structure
a b c (Å): 10.300 10.300 6.262
angles (deg): 90.00 90.00 152.76
Fractional positions:
Nb 0.084 0.916 0.500
Nb 0.916 0.084 0.000
Pb 0.320 0.680 0.397
Pb 0.680 0.320 0.897
S 0.032 0.968 0.882
S 0.113 0.887 0.135
S 0.200 0.800 0.655
S 0.411 0.589 0.035
S 0.589 0.411 0.535
S 0.800 0.200 0.155
S 0.887 0.113 0.635
S 0.968 0.032 0.382

# 8
# Nb3PbS6
Computed X-ray diffraction stick pattern, Cu Kα. Input: a structure optimized by DFT (PBE).
Peak positions follow from Bragg's law for the DFT cell and can differ from measured ones.

Largest 6 diffraction maxima, in order of rising 2θ, 2θ = 15–90°:
2theta, d/Å, intensity
17.49, 5.072, 45
21.15, 4.200, 59
29.64, 3.014, 27
30.53, 2.928, 45
39.04, 2.307, 100
54.26, 1.691, 26

Crystal structure
a b c (Å): 5.856 5.856 14.991
angles (deg): 90.00 90.00 120.00
Fractional positions:
Nb 0.000 0.000 0.250
Nb 0.000 0.000 0.750
Nb 0.333 0.667 0.250
Nb 0.333 0.667 0.750
Nb 0.667 0.333 0.250
Nb 0.667 0.333 0.750
Pb 0.000 0.000 0.000
Pb 0.000 0.000 0.500
S 0.000 0.336 0.146
S 0.000 0.336 0.354
S 0.000 0.664 0.646
S 0.000 0.664 0.854
S 0.336 0.000 0.146
S 0.336 0.000 0.354
S 0.336 0.336 0.646
S 0.336 0.336 0.854
S 0.664 0.000 0.646
S 0.664 0.000 0.854
S 0.664 0.664 0.146
S 0.664 0.664 0.354

# 9
# Nb5PbSe8
Computed X-ray diffraction stick pattern, Cu Kα. Input: a structure optimized by DFT (PBE).
Peak positions follow from Bragg's law for the DFT cell and can differ from measured ones.

Largest 6 diffraction maxima, in order of rising 2θ, 2θ = 15–90°:
2theta, d/Å, intensity
31.40, 2.849, 42
32.35, 2.767, 100
39.20, 2.298, 45
39.55, 2.279, 88
51.28, 1.782, 43
52.86, 1.732, 46

Crystal structure
a b c (Å): 9.507 9.507 9.430
angles (deg): 103.05 103.05 21.00
Fractional positions:
Nb 0.000 0.000 0.000
Nb 0.288 0.288 0.630
Nb 0.359 0.359 0.999
Nb 0.641 0.641 0.001
Nb 0.712 0.712 0.370
Pb 0.500 0.500 0.500
Se 0.085 0.085 0.808
Se 0.151 0.151 0.509
Se 0.241 0.241 0.160
Se 0.430 0.430 0.800
Se 0.570 0.570 0.200
Se 0.759 0.759 0.840
Se 0.849 0.849 0.491
Se 0.915 0.915 0.192

# 10
# Nb12PbSe16
Computed X-ray diffraction stick pattern, Cu Kα. Input: a structure optimized by DFT (PBE).
Peak positions follow from Bragg's law for the DFT cell and can differ from measured ones.

Largest 6 diffraction maxima, in order of rising 2θ, 2θ = 15–90°:
2theta, d/Å, intensity
30.73, 2.910, 29
32.70, 2.739, 37
37.13, 2.421, 59
37.37, 2.406, 100
44.21, 2.049, 39
81.96, 1.176, 24

Crystal structure
a b c (Å): 7.035 10.086 10.669
angles (deg): 118.18 109.21 90.00
Fractional positions:
Nb 0.113 0.107 0.488
Nb 0.176 0.620 0.106
Nb 0.194 0.513 0.621
Nb 0.320 0.381 0.892
Nb 0.322 0.488 0.382
Nb 0.373 0.893 0.513
Nb 0.627 0.107 0.487
Nb 0.678 0.512 0.618
Nb 0.680 0.619 0.108
Nb 0.806 0.487 0.379
Nb 0.824 0.380 0.894
Nb 0.887 0.893 0.512
Pb 0.000 0.000 0.000
Se 0.039 0.281 0.335
Se 0.042 0.664 0.333
Se 0.157 0.334 0.057
Se 0.236 0.061 0.724
Se 0.267 0.945 0.280
Se 0.347 0.662 0.942
Se 0.456 0.723 0.662
Se 0.460 0.331 0.666
Se 0.540 0.669 0.334
Se 0.544 0.277 0.338
Se 0.653 0.338 0.058
Se 0.733 0.055 0.720
Se 0.764 0.939 0.276
Se 0.843 0.666 0.943
Se 0.958 0.336 0.667
Se 0.961 0.719 0.665

# 11
# NbPbSe3
Computed X-ray diffraction stick pattern, Cu Kα. Input: a structure optimized by DFT (PBE).
Peak positions follow from Bragg's law for the DFT cell and can differ from measured ones.

Largest 6 diffraction maxima, in order of rising 2θ, 2θ = 15–90°:
2theta, d/Å, intensity
18.70, 4.744, 42
31.96, 2.800, 27
33.55, 2.671, 100
33.75, 2.656, 30
40.19, 2.244, 38
46.02, 1.972, 19

Crystal structure
a b c (Å): 3.630 6.820 11.175
angles (deg): 72.65 80.68 74.61
Fractional positions:
Nb 0.246 0.382 0.125
Nb 0.754 0.618 0.875
Pb 0.421 0.762 0.396
Pb 0.579 0.238 0.604
Se 0.110 0.415 0.366
Se 0.139 0.914 0.808
Se 0.388 0.320 0.903
Se 0.612 0.680 0.097
Se 0.861 0.086 0.192
Se 0.890 0.585 0.634

# 12
# Nb2SiPb
Computed X-ray diffraction stick pattern, Cu Kα. Input: a structure optimized by DFT (PBE).
Peak positions follow from Bragg's law for the DFT cell and can differ from measured ones.

Largest 6 diffraction maxima, in order of rising 2θ, 2θ = 15–90°:
2theta, d/Å, intensity
23.10, 3.850, 40
38.17, 2.358, 100
45.09, 2.011, 22
55.09, 1.667, 17
69.00, 1.361, 35
81.69, 1.179, 11

Crystal structure
a b c (Å): 4.715 4.715 4.715
angles (deg): 60.00 60.00 60.00
Fractional positions:
Nb 0.250 0.250 0.250
Nb 0.750 0.750 0.750
Si 0.000 0.000 0.000
Pb 0.500 0.500 0.500